1.
Computed PXRD pattern of Ba2PmNbO6 for Cu Kα, 1.54184 Å, from a cell relaxed with GGA-PBE.
No peak broadening, texture or thermal motion is included.

Cell and atoms:
```
Ba2PmNbO6
1.0
6.152 0.000 0.000
0.000 6.110 0.000
-6.098 0.000 8.626
Ba Pm Nb O
4 2 2 12
Cartesian
-0.015 0.027 2.146
-3.064 3.028 6.459
3.118 3.082 2.166
0.069 6.083 6.479
3.076 0.000 0.000
0.027 3.055 4.313
-3.049 0.000 4.313
0.000 3.055 0.000
-1.666 1.467 4.034
-4.714 1.588 8.346
-4.643 4.450 8.349
-1.594 4.714 4.036
-2.668 0.016 6.311
0.381 3.039 1.998
-0.327 3.071 6.627
2.722 6.094 2.314
1.648 1.395 4.589
4.697 1.659 0.276
4.768 4.522 0.279
1.719 4.643 4.592
```

Top 10 peaks for 2θ from 10° to 90°, by angle:
2theta	I/Imax
29.03	32
29.17	100
29.28	66
41.67	39
41.89	18
51.45	14
51.67	22
51.82	27
51.91	21
60.69	18

=====

2.
Computed PXRD pattern of CuICl6 for Cu Kα, 1.54184 Å, from a cell relaxed with GGA-PBE.
No peak broadening, texture or thermal motion is included.

Cell and atoms:
```
CuICl6
1.0
6.561 0.000 0.000
3.264 5.697 0.000
0.001 3.779 5.736
Cu I Cl
1 1 6
Cartesian
0.000 0.000 0.000
3.281 1.890 2.868
1.187 1.624 1.378
2.005 3.568 4.359
4.091 3.829 1.389
5.736 5.647 4.346
7.822 5.908 1.377
8.639 7.852 4.357
```

Top 10 peaks for 2θ from 10° to 90°, by angle:
2theta	I/Imax
18.70	100
25.97	23
31.39	34
37.97	15
41.75	20
41.87	21
43.31	8
43.43	8
47.27	8
47.92	13

=====

3.
Computed PXRD pattern of Ce7Sn5Pb for Cu Kα, 1.54184 Å, from a cell relaxed with GGA-PBE.
No peak broadening, texture or thermal motion is included.

Cell and atoms:
```
Ce7Sn5Pb
1.0
-3.193 5.586 5.411
3.193 -5.586 5.411
3.193 5.586 -5.411
Ce Sn Pb
7 5 1
Cartesian
0.000 0.000 0.000
3.193 1.884 1.475
0.000 0.000 3.984
0.000 3.779 1.378
0.000 7.393 1.378
0.000 5.586 3.435
0.000 3.702 6.886
1.596 2.702 -1.233
4.790 2.702 -1.233
3.193 0.000 4.081
-1.597 2.884 4.178
1.597 2.884 4.178
0.000 0.000 7.249
```

Top 10 peaks for 2θ from 10° to 90°, by angle:
2theta	I/Imax
27.73	40
27.94	22
32.05	19
32.34	100
32.56	33
32.71	20
33.11	33
36.19	30
36.42	57
57.28	27

=====

4.
Computed PXRD pattern of Li2ZnTeSe4 for Cu Kα, 1.54184 Å, from a cell relaxed with GGA-PBE.
No peak broadening, texture or thermal motion is included.

Cell and atoms:
```
Li2ZnTeSe4
1.0
5.538 -5.602 0.000
5.538 5.602 0.000
-5.420 0.000 5.541
Li Zn Te Se
4 2 2 8
Cartesian
0.000 0.000 0.000
-2.710 0.000 2.771
2.769 2.801 0.000
0.059 -2.801 2.771
5.538 0.000 0.000
2.828 0.000 2.771
0.059 2.801 2.771
2.769 -2.801 0.000
5.499 2.868 0.038
2.866 2.868 2.732
2.886 0.002 0.100
0.176 -0.002 2.871
5.479 0.002 2.671
2.769 -0.002 5.442
2.789 -2.868 2.809
0.156 -2.868 5.503
```

Top 10 peaks for 2θ from 10° to 90°, by angle:
2theta	I/Imax
13.69	18
13.89	35
26.50	27
31.95	52
32.33	100
45.84	18
46.09	73
56.97	18
57.86	18
76.18	23

=====

5.
Computed PXRD pattern of CaScTlGa for Cu Kα, 1.54184 Å, from a cell relaxed with GGA-PBE.
No peak broadening, texture or thermal motion is included.

Cell and atoms:
```
CaScTlGa
1.0
3.604 0.000 0.000
0.000 3.604 0.000
0.000 0.000 7.361
Ca Sc Tl Ga
1 1 1 1
Cartesian
0.000 0.000 0.000
0.000 0.000 3.948
1.802 1.802 2.116
1.802 1.802 5.442
```

Top 10 peaks for 2θ from 10° to 90°, by angle:
2theta	I/Imax
12.02	36
24.18	16
24.70	33
27.56	29
34.84	100
35.22	52
43.18	15
50.66	18
62.22	15
62.95	35

=====

6.
Computed PXRD pattern of Mn3TlS6 for Cu Kα, 1.54184 Å, from a cell relaxed with GGA-PBE.
No peak broadening, texture or thermal motion is included.

Cell and atoms:
```
Mn3TlS6
1.0
10.928 0.000 0.000
0.000 3.406 0.000
-3.642 0.000 10.384
Mn Tl S
6 2 12
Cartesian
-0.172 0.852 1.574
-0.434 0.852 7.725
2.140 2.555 4.758
5.146 0.852 5.627
7.720 2.555 2.659
7.458 2.555 8.811
3.888 2.555 1.251
3.398 0.852 9.133
-1.908 2.555 7.065
-2.342 0.852 9.984
1.075 2.555 2.568
0.842 0.852 5.629
0.778 2.555 8.723
3.549 0.852 3.899
3.737 2.555 6.485
6.508 0.852 1.662
6.444 2.555 4.756
6.211 0.852 7.816
9.628 2.555 0.400
9.193 0.852 3.320
```

Top 10 peaks for 2θ from 10° to 90°, by angle:
2theta	I/Imax
21.61	99
24.26	54
24.44	39
25.78	57
25.92	54
28.03	43
31.46	100
33.08	54
34.18	86
40.19	44

=====

7.
Computed PXRD pattern of TlSb2Pb9 for Cu Kα, 1.54184 Å, from a cell relaxed with GGA-PBE.
No peak broadening, texture or thermal motion is included.

Cell and atoms:
```
TlSb2Pb9
1.0
7.217 0.000 0.000
0.000 5.869 0.000
-2.821 0.000 9.181
Tl Sb Pb
1 2 9
Cartesian
0.000 0.000 0.000
1.468 0.000 3.121
2.929 0.000 6.060
-1.410 0.000 4.590
-0.694 2.934 6.126
0.749 2.934 1.582
0.234 0.000 7.553
3.609 2.934 0.000
2.198 2.934 4.590
4.162 0.000 1.628
3.648 2.934 7.599
5.090 2.934 3.055
```

Top 10 peaks for 2θ from 10° to 90°, by angle:
2theta	I/Imax
27.40	42
30.46	100
40.63	30
41.43	29
42.21	27
54.12	20
61.13	9
62.31	9
63.38	13
88.05	7

=====

8.
Computed PXRD pattern of Th2B7Ru12 for Cu Kα, 1.54184 Å, from a cell relaxed with GGA-PBE.
No peak broadening, texture or thermal motion is included.

Cell and atoms:
```
Th2B7Ru12
1.0
9.073 0.000 0.000
-4.536 7.857 0.000
0.000 0.000 3.809
Th B Ru
2 7 12
Cartesian
0.000 0.000 0.000
0.000 5.238 1.904
-1.255 3.356 0.000
1.484 1.893 1.904
-1.003 7.266 0.000
2.258 5.092 0.000
4.536 2.619 0.000
6.691 0.339 1.904
5.434 5.625 1.904
-0.769 2.254 1.904
-2.254 5.404 0.000
-2.199 7.396 1.904
0.983 3.203 0.000
2.798 1.420 0.000
3.070 3.337 1.904
4.647 0.990 1.904
1.270 7.107 0.000
2.969 6.064 1.904
4.367 4.724 0.000
6.444 1.713 0.000
5.891 3.529 1.904
```

Top 10 peaks for 2θ from 10° to 90°, by angle:
2theta	I/Imax
26.00	15
30.09	25
30.65	10
38.44	100
41.44	10
46.22	9
47.76	16
53.44	12
67.73	9
82.66	11

=====

9.
Computed PXRD pattern of AlSb3 for Cu Kα, 1.54184 Å, from a cell relaxed with GGA-PBE.
No peak broadening, texture or thermal motion is included.

Cell and atoms:
```
AlSb3
1.0
5.965 0.000 0.000
0.000 5.965 0.000
0.000 0.000 6.269
Al Sb
2 6
Cartesian
1.491 1.491 1.431
4.474 4.474 4.837
1.491 1.491 4.859
1.491 4.474 1.698
1.491 4.474 4.570
4.474 1.491 1.698
4.474 1.491 4.570
4.474 4.474 1.410
```

Top 10 peaks for 2θ from 10° to 90°, by angle:
2theta	I/Imax
20.55	28
21.06	14
28.48	53
29.96	100
41.81	74
42.88	37
52.28	38
69.84	16
70.61	16
77.82	24

=====

10.
Computed PXRD pattern of Pr2Be3Pt12Rh for Cu Kα, 1.54184 Å, from a cell relaxed with GGA-PBE.
No peak broadening, texture or thermal motion is included.

Cell and atoms:
```
Pr2Be3Pt12Rh
1.0
3.968 2.291 6.200
-3.968 2.291 6.200
0.000 -4.582 6.200
Pr Be Pt Rh
2 3 12 1
Cartesian
0.000 0.000 2.051
0.000 0.000 16.548
-1.984 -1.145 6.200
-1.984 1.145 12.399
0.000 2.291 6.200
-2.058 -1.188 8.463
0.000 -2.083 5.582
-1.804 1.041 5.582
0.000 -2.376 10.135
-2.058 1.188 10.135
-1.804 -1.041 13.017
1.804 1.041 5.582
2.058 -1.188 8.463
0.000 2.376 8.463
1.804 -1.041 13.017
0.000 2.083 13.017
2.058 1.188 10.135
0.000 0.000 9.299
```

Top 10 peaks for 2θ from 10° to 90°, by angle:
2theta	I/Imax
23.09	13
32.40	100
35.89	9
45.73	46
47.20	39
57.15	18
67.82	12
76.09	14
78.27	11
85.67	12

=====

11.
Computed PXRD pattern of Cd12Hg7Pb for Cu Kα, 1.54184 Å, from a cell relaxed with GGA-PBE.
No peak broadening, texture or thermal motion is included.

Cell and atoms:
```
Cd12Hg7Pb
1.0
5.844 3.374 4.191
-5.844 3.374 4.191
0.000 -6.748 4.191
Cd Hg Pb
12 7 1
Cartesian
-1.601 -3.976 4.191
-4.244 0.602 4.191
-2.642 -1.526 5.818
1.601 -3.976 4.191
-2.643 3.374 4.191
0.000 -3.051 6.755
-2.642 1.526 6.755
2.642 -1.526 5.818
0.000 3.051 5.818
4.244 0.602 4.191
2.643 3.374 4.191
2.642 1.526 6.755
0.000 -1.768 2.962
-1.531 0.884 2.962
1.531 0.884 2.962
0.000 0.000 6.287
-1.532 -0.884 9.611
1.532 -0.884 9.611
0.000 1.768 9.611
0.000 0.000 0.000
```

Top 10 peaks for 2θ from 10° to 90°, by angle:
2theta	I/Imax
29.76	100
32.68	32
34.11	86
35.00	98
36.21	94
38.34	38
51.32	33
63.22	37
63.69	27
66.33	21

=====

12.
Computed PXRD pattern of La6SmRh4 for Cu Kα, 1.54184 Å, from a cell relaxed with GGA-PBE.
No peak broadening, texture or thermal motion is included.

Cell and atoms:
```
La6SmRh4
1.0
6.222 0.000 0.000
-1.945 6.548 0.000
-1.708 -2.149 7.446
La Sm Rh
6 1 4
Cartesian
0.000 0.000 0.000
-1.256 0.060 4.700
-0.529 3.873 5.263
1.309 5.084 1.755
2.016 1.075 6.070
4.526 2.861 1.868
1.531 1.595 2.724
-1.521 5.516 2.829
0.787 2.926 0.086
2.998 1.017 0.130
2.533 3.663 4.583
```

Top 10 peaks for 2θ from 10° to 90°, by angle:
2theta	I/Imax
28.41	25
29.98	100
31.14	19
31.74	29
33.89	22
34.84	27
35.00	24
36.18	17
36.51	19
38.83	20